Structure and computed powder diffraction line list of HoTmAlCu (DFT lattice parameters and positions (GGA-PBE); Cu Kα (weighted mean of Kα1 and Kα2)).

Atomic structure:
Unit cell a=3.441 b=3.441 c=7.303 alpha=90.00 beta=90.00 gamma=90.00
Space group P4mm (No. 99)
Inequivalent atoms, fractional coordinates:
Ho  0.000  0.000  0.000 (multiplicity 1)
Tm  0.000  0.000  0.470 (multiplicity 1)
Al  0.500  0.500  0.733 (multiplicity 1)
Cu  0.500  0.500  0.243 (multiplicity 1)

The 10 most intense peaks (2θ = 10–90°), by angle:
h k l  d [Å]  I_rel
0 0 1  7.303  10
0 0 2  3.652  20
1 0 0  3.441  35
1 0 2  2.504  100
1 1 0  2.433  48
1 1 2  2.025  16
2 0 0  1.720  17
1 1 4  1.460  18
2 1 2  1.418  33
2 0 4  1.252  12